(1)
Diffraction record for NaSbAu2S4. The PXRD pattern is calculated, not measured: it uses a structure optimized by DFT (PBE) and CuKα.
Lines closer than 0.1° are merged.

Principal peaks in the range 10 to 90 degrees two-theta, most intense first:
2θ (°)  d_spacing  intensity
29.56  3.022  100
18.45  4.808  89
39.92  2.259  53
15.20  5.828  52
33.54  2.672  50
16.59  5.344  41
50.24  1.816  30
47.22  1.925  25
27.76  3.214  23
43.90  2.063  22

Structure:
```
data_NaSbAu2S4
_chemical_formula_sum 'Na2 Sb2 Au4 S8'
_cell_length_a 6.4273
_cell_length_b 7.3277
_cell_length_c 9.6159
_cell_angle_alpha 90.00
_cell_angle_beta 90.00
_cell_angle_gamma 90.00
_symmetry_space_group_name_H-M 'I 2 2 2'
_symmetry_Int_Tables_number 23
loop_
_symmetry_equiv_pos_as_xyz
'x,y,z'
'-x,-y,z'
'x,-y,-z'
'-x,y,-z'
'x+1/2,y+1/2,z+1/2'
'-x+1/2,-y+1/2,z+1/2'
'x+1/2,-y+1/2,-z+1/2'
'-x+1/2,y+1/2,-z+1/2'
loop_
_atom_site_label
_atom_site_type_symbol
_atom_site_fract_x
_atom_site_fract_y
_atom_site_fract_z
Na1 Na 0.0000 0.0000 0.0000
Sb1 Sb 0.0000 0.5000 0.0000
Au1 Au 0.0000 0.2102 0.5000
S1 S 0.2067 0.2976 0.8586
```

(2)
Diffraction record for Nd4ClO5. The PXRD pattern is calculated, not measured: it uses a structure optimized by DFT (PBE) and CuKα.
Lines closer than 0.1° are merged.

Principal peaks in the range 10 to 90 degrees two-theta, most intense first:
2θ (°)  d_spacing  intensity
24.39  3.649  100
28.71  3.110  79
43.79  2.067  48
31.37  2.852  45
49.31  1.848  28
56.57  1.627  19
29.76  3.002  19
39.21  2.298  14
35.12  2.555  13
50.19  1.818  12

Structure:
```
data_Nd4ClO5
_chemical_formula_sum 'Nd8 Cl2 O10'
_cell_length_a 7.2705
_cell_length_b 9.1914
_cell_length_c 6.0046
_cell_angle_alpha 90.00
_cell_angle_beta 90.00
_cell_angle_gamma 90.00
_symmetry_space_group_name_H-M 'P m m n'
_symmetry_Int_Tables_number 59
loop_
_symmetry_equiv_pos_as_xyz
'x,y,z'
'-x,-y,-z'
'-x+1/2,-y+1/2,z'
'x+1/2,y+1/2,-z'
'x+1/2,-y,-z'
'-x+1/2,y,z'
'-x,y+1/2,-z'
'x,-y+1/2,z'
loop_
_atom_site_label
_atom_site_type_symbol
_atom_site_fract_x
_atom_site_fract_y
_atom_site_fract_z
Nd1 Nd 0.0074 0.2500 0.0383
Nd2 Nd 0.2500 0.0367 0.5382
Cl1 Cl 0.2500 0.7500 0.3318
O1 O 0.0043 0.0657 0.2717
O2 O 0.2500 0.2500 0.7591
```

(3)
Diffraction record for AuCl3O. The PXRD pattern is calculated, not measured: it uses a structure optimized by DFT (PBE) and CuKα.
Lines closer than 0.1° are merged.

Principal peaks in the range 10 to 90 degrees two-theta, most intense first:
2θ (°)  d_spacing  intensity
12.71  6.963  100
13.29  6.660  85
21.72  4.092  65
25.55  3.487  38
17.45  5.083  25
19.37  4.582  25
32.22  2.778  22
22.88  3.887  21
24.43  3.643  20
28.52  3.130  19

Structure:
```
data_AuCl3O
_chemical_formula_sum 'Au4 Cl12 O4'
_cell_length_a 6.7938
_cell_length_b 8.1841
_cell_length_c 13.5153
_cell_angle_alpha 90.00
_cell_angle_beta 101.36
_cell_angle_gamma 90.00
_symmetry_space_group_name_H-M 'P 1 2/c 1'
_symmetry_Int_Tables_number 13
loop_
_symmetry_equiv_pos_as_xyz
'x,y,z'
'-x,-y,-z'
'-x,y,-z+1/2'
'x,-y,z+1/2'
loop_
_atom_site_label
_atom_site_type_symbol
_atom_site_fract_x
_atom_site_fract_y
_atom_site_fract_z
Au1 Au 0.0153 0.2487 0.1217
Cl1 Cl 0.2141 0.2492 0.5259
Cl2 Cl 0.2416 0.2482 0.2807
Cl3 Cl 0.2742 0.2496 0.0374
O1 O 0.0924 0.2739 0.7613
```

(4)
Diffraction record for Ta2ZnP. The PXRD pattern is calculated, not measured: it uses a structure optimized by DFT (PBE) and CuKα.
Lines closer than 0.1° are merged.

Principal peaks in the range 10 to 90 degrees two-theta, most intense first:
2θ (°)  d_spacing  intensity
39.15  2.301  100
31.45  2.844  52
40.72  2.216  51
13.06  6.777  32
73.06  1.295  32
58.33  1.582  18
58.94  1.567  17
39.91  2.259  13
68.35  1.372  12
69.89  1.346  12

Structure:
```
data_Ta2ZnP
_chemical_formula_sum 'Ta2 Zn1 P1'
_cell_length_a 3.1338
_cell_length_b 3.1338
_cell_length_c 6.7772
_cell_angle_alpha 90.00
_cell_angle_beta 90.00
_cell_angle_gamma 90.00
_symmetry_space_group_name_H-M 'P 4 m m'
_symmetry_Int_Tables_number 99
loop_
_symmetry_equiv_pos_as_xyz
'x,y,z'
'-y,x,z'
'-x,-y,z'
'y,-x,z'
'-x,y,z'
'y,x,z'
'x,-y,z'
'-y,-x,z'
loop_
_atom_site_label
_atom_site_type_symbol
_atom_site_fract_x
_atom_site_fract_y
_atom_site_fract_z
Ta1 Ta 0.0000 0.0000 0.0000
Ta2 Ta 0.5000 0.5000 0.3025
Zn1 Zn 0.0000 0.0000 0.5660
P1 P 0.5000 0.5000 0.8226
```

(5)
Diffraction record for Tl2Cd5Hg4. The PXRD pattern is calculated, not measured: it uses a structure optimized by DFT (PBE) and CuKα.
Lines closer than 0.1° are merged.

Principal peaks in the range 10 to 90 degrees two-theta, most intense first:
2θ (°)  d_spacing  intensity
39.60  2.276  100
31.94  2.802  98
33.44  2.680  84
31.53  2.837  83
35.92  2.500  69
36.46  2.465  64
56.87  1.619  23
64.62  1.442  21
50.85  1.796  21
55.81  1.647  19

Structure:
```
data_Tl2Cd5Hg4
_chemical_formula_sum 'Tl2 Cd5 Hg4'
_cell_length_a 5.2969
_cell_length_b 7.3045
_cell_length_c 7.9484
_cell_angle_alpha 106.74
_cell_angle_beta 101.80
_cell_angle_gamma 95.64
_symmetry_space_group_name_H-M 'P -1'
_symmetry_Int_Tables_number 2
loop_
_symmetry_equiv_pos_as_xyz
'x,y,z'
'-x,-y,-z'
loop_
_atom_site_label
_atom_site_type_symbol
_atom_site_fract_x
_atom_site_fract_y
_atom_site_fract_z
Tl1 Tl 0.1215 0.3124 0.3814
Cd1 Cd 0.0000 0.5000 0.0000
Cd2 Cd 0.2105 0.1456 0.7563
Cd3 Cd 0.2611 0.9487 0.0732
Hg1 Hg 0.3306 0.7893 0.4191
Hg2 Hg 0.4485 0.5973 0.8265
```

(6)
Diffraction record for Rb3P. The PXRD pattern is calculated, not measured: it uses a structure optimized by DFT (PBE) and CuKα.
Lines closer than 0.1° are merged.

Principal peaks in the range 10 to 90 degrees two-theta, most intense first:
2θ (°)  d_spacing  intensity
29.99  2.980  100
53.24  1.720  38
42.92  2.107  18
86.36  1.127  13
62.32  1.490  12
70.73  1.332  11
18.23  4.866  8
86.44  1.126  7
70.60  1.334  5
35.32  2.541  5

Structure:
```
data_Rb3P
_chemical_formula_sum 'Rb6 P2'
_cell_length_a 5.9556
_cell_length_b 8.4386
_cell_length_c 5.9573
_cell_angle_alpha 90.00
_cell_angle_beta 90.00
_cell_angle_gamma 90.00
_symmetry_space_group_name_H-M 'I m m 2'
_symmetry_Int_Tables_number 44
loop_
_symmetry_equiv_pos_as_xyz
'x,y,z'
'-x,-y,z'
'-x,y,z'
'x,-y,z'
'x+1/2,y+1/2,z+1/2'
'-x+1/2,-y+1/2,z+1/2'
'-x+1/2,y+1/2,z+1/2'
'x+1/2,-y+1/2,z+1/2'
loop_
_atom_site_label
_atom_site_type_symbol
_atom_site_fract_x
_atom_site_fract_y
_atom_site_fract_z
Rb1 Rb 0.0000 0.0000 0.0000
Rb2 Rb 0.0000 0.2500 0.4993
P1 P 0.0000 0.5000 0.9985
```